Structure and computed PXRD pattern of Ni9Sn3B2 (a structure optimized by DFT (GGA-PBE); λ = 1.5418 Å (Cu Kα)).

Crystal structure
```
data_Ni9Sn3B2
_chemical_formula_sum 'Ni18 Sn6 B4'
_cell_length_a 5.5098
_cell_length_b 5.5098
_cell_length_c 12.9857
_cell_angle_alpha 90.00
_cell_angle_beta 90.00
_cell_angle_gamma 120.00
_space_group_name_H-M_alt 'P 63/m m c'
_space_group_IT_number 194
_space_group_name_Hall '-P 6c 2c'
loop_
_atom_site_label
_atom_site_type_symbol
_atom_site_fract_x
_atom_site_fract_y
_atom_site_fract_z
Ni1 Ni 0.0174 0.5087 0.2500
Ni2 Ni 0.1624 0.3248 0.5823
Sn1 Sn 0.0000 0.0000 0.2500
Sn2 Sn 0.3333 0.6667 0.0807
B1 B 0.3333 0.6667 0.6684
```

Most intense lines, 15 to 90 degrees two-theta, low angle first:
Position (°2θ)	I_rel	h k l
32.5	13	1 1 0
38.4	31	2 0 1
40.3	93	2 0 2
41.7	54	0 0 6
43.3	100	2 0 3
47.3	55	2 0 4
52.1	18	2 0 5
68.1	38	2 2 0
70.1	19	2 0 8
77.3	17	2 0 9
83.1	41	2 2 6
84.2	14	4 0 3